Entry 1:
HfMg14Ga: simulated X-ray powder pattern (Cu Kα, 1.54184 Å), based on a DFT-relaxed cell (PBE, the Materials Project).
Kinematic intensities with the Lorentz-polarization factor, no thermal factor.

Largest 8 diffraction maxima, by angle, 2θ = 5–70°:
2theta	I/Imax
16.10	54.7
18.34	20.3
23.86	39.8
32.54	30.5
35.41	24.6
37.17	100.0
48.85	19.3
69.87	19.0

```
data_HfMg14Ga
_chemical_formula_sum 'Hf1 Mg14 Ga1'
_space_group_name_H-M_alt 'P 1'
_space_group_IT_number 1
_cell_length_a 6.3555
_cell_length_b 6.3555
_cell_length_c 10.1398
_cell_angle_alpha 90.00
_cell_angle_beta 90.00
_cell_angle_gamma 120.00
loop_
_space_group_symop_operation_xyz
'x,y,z'
loop_
_atom_site_label
_atom_site_fract_x
_atom_site_fract_y
_atom_site_fract_z
Hf1 0.0000 0.0000 0.0000
Mg1 0.0051 0.5025 0.0000
Mg2 0.1621 0.3242 0.2506
Mg3 0.1621 0.3242 0.7494
Mg4 0.1621 0.8379 0.2506
Mg5 0.1621 0.8379 0.7494
Mg6 0.4975 0.5025 0.0000
Mg7 0.4975 0.9949 0.0000
Mg8 0.5009 0.0018 0.5000
Mg9 0.5009 0.4991 0.5000
Mg10 0.6667 0.3333 0.2447
Mg11 0.6667 0.3333 0.7553
Mg12 0.6758 0.8379 0.2506
Mg13 0.6758 0.8379 0.7494
Mg14 0.9982 0.4991 0.5000
Ga1 0.0000 0.0000 0.5000
```

Entry 2:
Nb3P: simulated X-ray powder pattern (Cu Kα, 1.54184 Å), based on a DFT-relaxed cell (PBE, the Materials Project).
Kinematic intensities with the Lorentz-polarization factor, no thermal factor.

Largest 8 diffraction maxima, by angle, 2θ = 5–70°:
2theta	I/Imax
36.24	100.0
37.35	88.5
39.43	48.0
40.45	92.3
43.40	26.0
45.25	35.3
63.78	24.6
64.47	29.2

```
data_Nb3P
_chemical_formula_sum 'Nb12 P4'
_space_group_name_H-M_alt 'P 1'
_space_group_IT_number 1
_cell_length_a 7.6654
_cell_length_b 7.6654
_cell_length_c 7.6654
_cell_angle_alpha 96.37
_cell_angle_beta 96.37
_cell_angle_gamma 141.10
loop_
_space_group_symop_operation_xyz
'x,y,z'
loop_
_atom_site_label
_atom_site_fract_x
_atom_site_fract_y
_atom_site_fract_z
Nb1 0.0772 0.3935 0.4840
Nb2 0.0903 0.2130 0.8383
Nb3 0.2233 0.6920 0.9032
Nb4 0.3080 0.2112 0.5313
Nb5 0.3747 0.2520 0.1617
Nb6 0.4068 0.9228 0.3163
Nb7 0.6065 0.0904 0.6837
Nb8 0.6799 0.7767 0.4687
Nb9 0.7480 0.9097 0.1227
Nb10 0.7870 0.6253 0.8773
Nb11 0.7888 0.3201 0.0968
Nb12 0.9096 0.5932 0.5160
P1 0.2354 0.4749 0.1741
P2 0.3007 0.0613 0.8259
P3 0.5251 0.6993 0.7606
P4 0.9387 0.7646 0.2394
```

Entry 3:
Sr2ZnGa: simulated X-ray powder pattern (Cu Kα, 1.54184 Å), based on a DFT-relaxed cell (PBE, the Materials Project).
Kinematic intensities with the Lorentz-polarization factor, no thermal factor.

Largest 6 diffraction maxima, by angle, 2θ = 5–70°:
2theta	I/Imax
22.81	1.2
32.48	100.0
46.60	17.9
52.49	0.5
57.95	36.8
68.02	11.2

```
data_Sr2ZnGa
_chemical_formula_sum 'Sr2 Zn1 Ga1'
_space_group_name_H-M_alt 'P 1'
_space_group_IT_number 1
_cell_length_a 5.5131
_cell_length_b 5.5131
_cell_length_c 5.5131
_cell_angle_alpha 60.00
_cell_angle_beta 60.00
_cell_angle_gamma 60.00
loop_
_space_group_symop_operation_xyz
'x,y,z'
loop_
_atom_site_label
_atom_site_fract_x
_atom_site_fract_y
_atom_site_fract_z
Sr1 0.2500 0.2500 0.2500
Sr2 0.7500 0.7500 0.7500
Zn1 0.0000 0.0000 0.0000
Ga1 0.5000 0.5000 0.5000
```

Entry 4:
MgAlBi12O20: simulated X-ray powder pattern (Cu Kα, 1.54184 Å), based on a DFT-relaxed cell (PBE, the Materials Project).
Kinematic intensities with the Lorentz-polarization factor, no thermal factor.

Largest 8 diffraction maxima, by angle, 2θ = 5–70°:
2theta	I/Imax
24.10	26.1
26.71	38.7
27.18	100.0
29.74	22.3
32.00	27.3
32.19	65.4
50.72	29.3
51.22	23.9

```
data_MgAlBi12O20
_chemical_formula_sum 'Mg1 Al1 Bi12 O20'
_space_group_name_H-M_alt 'P 1'
_space_group_IT_number 1
_cell_length_a 9.0132
_cell_length_b 9.0132
_cell_length_c 10.3938
_cell_angle_alpha 124.93
_cell_angle_beta 124.93
_cell_angle_gamma 69.99
loop_
_space_group_symop_operation_xyz
'x,y,z'
loop_
_atom_site_label
_atom_site_fract_x
_atom_site_fract_y
_atom_site_fract_z
Mg1 0.0000 0.0000 0.0000
Al1 0.8568 0.1432 0.5000
Bi1 0.0152 0.3291 0.3582
Bi2 0.0350 0.3243 0.9811
Bi3 0.1503 0.8275 0.3190
Bi4 0.1725 0.8497 0.6810
Bi5 0.3563 0.2777 0.8286
Bi6 0.4090 0.0061 0.2290
Bi7 0.5185 0.4684 0.6754
Bi8 0.5316 0.4815 0.3246
Bi9 0.6709 0.9848 0.6418
Bi10 0.6757 0.9650 0.0189
Bi11 0.7223 0.6437 0.1714
Bi12 0.9939 0.5910 0.7710
O1 0.0479 0.1350 0.4828
O2 0.0876 0.8491 0.8286
O3 0.1509 0.9124 0.1714
O4 0.1952 0.2018 0.1767
O5 0.2207 0.5308 0.1291
O6 0.2317 0.1458 0.8755
O7 0.2368 0.4880 0.6118
O8 0.4692 0.7793 0.8709
O9 0.4768 0.0205 0.7339
O10 0.4844 0.1573 0.5111
O11 0.5120 0.7632 0.3882
O12 0.5857 0.3740 0.1123
O13 0.6260 0.4143 0.8877
O14 0.6471 0.1378 0.3007
O15 0.7982 0.8048 0.8233
O16 0.8427 0.5156 0.4889
O17 0.8542 0.7683 0.1245
O18 0.8622 0.3529 0.6993
O19 0.8650 0.9521 0.5172
O20 0.9795 0.5232 0.2661
```